For Ac4DyY2, a structure optimized by DFT (PBE) gives the simulated X-ray powder pattern in this record (Cu Ka).
Neutral-atom scattering factors, no anomalous dispersion.

Principal peaks in the range 5° ≤ 2θ ≤ 70°, by angle:
Position (°2θ), Rel. int.
28.7, 100.0
29.9, 43.1
30.3, 29.5
30.7, 24.3
35.0, 20.4
41.6, 11.6
48.0, 15.8
57.5, 10.7

```
data_Ac4DyY2
_chemical_formula_sum 'Ac8 Dy2 Y4'
_cell_length_a 7.259
_cell_length_b 7.259
_cell_length_c 13.190
_cell_angle_alpha 96.83
_cell_angle_beta 96.83
_cell_angle_gamma 124.58
_symmetry_space_group_name_H-M 'P 1'
_symmetry_Int_Tables_number 1
_symmetry_space_group_name_Hall 'P 1'
loop_
_atom_site_label
_atom_site_type_symbol
_atom_site_fract_x
_atom_site_fract_y
_atom_site_fract_z
Ac1 Ac 0.059 0.941 0.500
Ac2 Ac 0.100 0.482 0.579
Ac3 Ac 0.477 0.627 0.151
Ac4 Ac 0.482 0.100 0.079
Ac5 Ac 0.516 0.870 0.428
Ac6 Ac 0.627 0.477 0.651
Ac7 Ac 0.870 0.516 0.928
Ac8 Ac 0.941 0.059 0.000
Dy1 Dy 0.249 0.998 0.790
Dy2 Dy 0.998 0.249 0.290
Y1 Y 0.031 0.735 0.224
Y2 Y 0.348 0.549 0.855
Y3 Y 0.549 0.348 0.355
Y4 Y 0.735 0.031 0.724
```

For AcDy2Y6, a structure optimized by DFT (PBE) gives the simulated X-ray powder pattern in this record (Cu Ka).
Neutral-atom scattering factors, no anomalous dispersion.

Principal peaks in the range 5° ≤ 2θ ≤ 70°, by angle:
Position (°2θ), Rel. int.
10.0, 43.1
28.2, 51.6
30.4, 52.1
31.3, 90.9
33.0, 100.0
41.9, 32.8
49.9, 41.4
59.6, 45.5

```
data_AcDy2Y6
_chemical_formula_sum 'Ac1 Dy2 Y6'
_cell_length_a 3.652
_cell_length_b 3.652
_cell_length_c 26.472
_cell_angle_alpha 90.00
_cell_angle_beta 90.00
_cell_angle_gamma 120.00
_symmetry_space_group_name_H-M 'P 1'
_symmetry_Int_Tables_number 1
_symmetry_space_group_name_Hall 'P 1'
loop_
_atom_site_label
_atom_site_type_symbol
_atom_site_fract_x
_atom_site_fract_y
_atom_site_fract_z
Ac1 Ac 0.000 0.000 0.000
Dy1 Dy 0.333 0.667 0.331
Dy2 Dy 0.333 0.667 0.669
Y1 Y 0.000 0.000 0.224
Y2 Y 0.000 0.000 0.436
Y3 Y 0.000 0.000 0.564
Y4 Y 0.000 0.000 0.776
Y5 Y 0.333 0.667 0.118
Y6 Y 0.333 0.667 0.882
```

For Ac8DyY5, a structure optimized by DFT (PBE) gives the simulated X-ray powder pattern in this record (Cu Ka).
Neutral-atom scattering factors, no anomalous dispersion.

Principal peaks in the range 5° ≤ 2θ ≤ 70°, by angle:
Position (°2θ), Rel. int.
23.0, 23.0
29.1, 53.5
29.3, 73.4
29.5, 65.5
29.8, 44.2
30.9, 100.0
39.8, 19.6
44.0, 19.1

```
data_Ac8DyY5
_chemical_formula_sum 'Ac8 Dy1 Y5'
_cell_length_a 8.980
_cell_length_b 9.012
_cell_length_c 9.247
_cell_angle_alpha 62.39
_cell_angle_beta 61.45
_cell_angle_gamma 86.74
_symmetry_space_group_name_H-M 'P 1'
_symmetry_Int_Tables_number 1
_symmetry_space_group_name_Hall 'P 1'
loop_
_atom_site_label
_atom_site_type_symbol
_atom_site_fract_x
_atom_site_fract_y
_atom_site_fract_z
Ac1 Ac 0.000 0.000 0.000
Ac2 Ac 0.066 0.695 0.387
Ac3 Ac 0.190 0.192 0.216
Ac4 Ac 0.318 0.695 0.923
Ac5 Ac 0.391 0.343 0.438
Ac6 Ac 0.491 0.839 0.318
Ac7 Ac 0.599 0.511 0.649
Ac8 Ac 0.794 0.762 0.845
Dy1 Dy 0.903 0.240 0.625
Y1 Y 0.126 0.464 0.799
Y2 Y 0.474 0.066 0.878
Y3 Y 0.689 0.291 0.025
Y4 Y 0.720 0.033 0.451
Y5 Y 0.867 0.477 0.228
```

For AcDy3Y3, a structure optimized by DFT (PBE) gives the simulated X-ray powder pattern in this record (Cu Ka).
Neutral-atom scattering factors, no anomalous dispersion.

Principal peaks in the range 5° ≤ 2θ ≤ 70°, by angle:
Position (°2θ), Rel. int.
24.0, 20.8
28.9, 77.4
29.1, 31.1
31.1, 68.3
32.1, 100.0
32.4, 90.0
57.9, 21.7
62.0, 23.8

```
data_AcDy3Y3
_chemical_formula_sum 'Ac4 Dy12 Y12'
_cell_length_a 13.073
_cell_length_b 13.073
_cell_length_c 13.073
_cell_angle_alpha 117.10
_cell_angle_beta 117.10
_cell_angle_gamma 117.10
_symmetry_space_group_name_H-M 'P 1'
_symmetry_Int_Tables_number 1
_symmetry_space_group_name_Hall 'P 1'
loop_
_atom_site_label
_atom_site_type_symbol
_atom_site_fract_x
_atom_site_fract_y
_atom_site_fract_z
Ac1 Ac 0.000 0.000 0.000
Ac2 Ac 0.419 0.603 0.603
Ac3 Ac 0.603 0.419 0.603
Ac4 Ac 0.603 0.603 0.419
Dy1 Dy 0.009 0.278 0.537
Dy2 Dy 0.009 0.537 0.278
Dy3 Dy 0.153 0.153 0.863
Dy4 Dy 0.153 0.863 0.153
Dy5 Dy 0.278 0.009 0.537
Dy6 Dy 0.278 0.537 0.009
Dy7 Dy 0.331 0.803 0.803
Dy8 Dy 0.537 0.009 0.278
Dy9 Dy 0.537 0.278 0.009
Dy10 Dy 0.803 0.331 0.803
Dy11 Dy 0.803 0.803 0.331
Dy12 Dy 0.863 0.153 0.153
Y1 Y 0.018 0.564 0.769
Y2 Y 0.018 0.769 0.564
Y3 Y 0.043 0.043 0.303
Y4 Y 0.043 0.303 0.043
Y5 Y 0.303 0.043 0.043
Y6 Y 0.324 0.324 0.775
Y7 Y 0.324 0.775 0.324
Y8 Y 0.564 0.018 0.769
Y9 Y 0.564 0.769 0.018
Y10 Y 0.769 0.018 0.564
Y11 Y 0.769 0.564 0.018
Y12 Y 0.775 0.324 0.324
```

For Ac2Dy3Y7, a structure optimized by DFT (PBE) gives the simulated X-ray powder pattern in this record (Cu Ka).
Neutral-atom scattering factors, no anomalous dispersion.

Principal peaks in the range 5° ≤ 2θ ≤ 70°, by angle:
Position (°2θ), Rel. int.
15.1, 21.6
28.3, 34.4
30.4, 47.9
31.6, 73.1
32.2, 100.0
42.1, 22.6
49.2, 21.6
60.9, 23.2

```
data_Ac2Dy3Y7
_chemical_formula_sum 'Ac2 Dy3 Y7'
_cell_length_a 6.472
_cell_length_b 3.609
_cell_length_c 17.623
_cell_angle_alpha 90.00
_cell_angle_beta 90.18
_cell_angle_gamma 90.00
_symmetry_space_group_name_H-M 'P 1'
_symmetry_Int_Tables_number 1
_symmetry_space_group_name_Hall 'P 1'
loop_
_atom_site_label
_atom_site_type_symbol
_atom_site_fract_x
_atom_site_fract_y
_atom_site_fract_z
Ac1 Ac 0.006 0.000 0.175
Ac2 Ac 0.994 0.000 0.825
Dy1 Dy 0.000 0.000 0.500
Dy2 Dy 0.499 0.500 0.159
Dy3 Dy 0.501 0.500 0.841
Y1 Y 0.178 0.500 0.340
Y2 Y 0.261 0.000 0.999
Y3 Y 0.330 0.000 0.663
Y4 Y 0.500 0.500 0.500
Y5 Y 0.670 0.000 0.337
Y6 Y 0.739 0.000 0.001
Y7 Y 0.822 0.500 0.660
```

For AcDy4Y6, a structure optimized by DFT (PBE) gives the simulated X-ray powder pattern in this record (Cu Ka).
Neutral-atom scattering factors, no anomalous dispersion.

Principal peaks in the range 5° ≤ 2θ ≤ 70°, by angle:
Position (°2θ), Rel. int.
20.6, 19.0
30.1, 63.8
30.3, 41.9
30.8, 57.0
31.4, 100.0
33.1, 30.9
43.8, 30.5
55.2, 20.1

```
data_AcDy4Y6
_chemical_formula_sum 'Ac2 Dy8 Y12'
_cell_length_a 5.701
_cell_length_b 5.701
_cell_length_c 25.803
_cell_angle_alpha 90.00
_cell_angle_beta 90.00
_cell_angle_gamma 118.87
_symmetry_space_group_name_H-M 'P 1'
_symmetry_Int_Tables_number 1
_symmetry_space_group_name_Hall 'P 1'
loop_
_atom_site_label
_atom_site_type_symbol
_atom_site_fract_x
_atom_site_fract_y
_atom_site_fract_z
Ac1 Ac 0.182 0.818 0.750
Ac2 Ac 0.818 0.182 0.250
Dy1 Dy 0.161 0.839 0.041
Dy2 Dy 0.161 0.839 0.459
Dy3 Dy 0.479 0.521 0.122
Dy4 Dy 0.479 0.521 0.378
Dy5 Dy 0.521 0.479 0.622
Dy6 Dy 0.521 0.479 0.878
Dy7 Dy 0.839 0.161 0.541
Dy8 Dy 0.839 0.161 0.959
Y1 Y 0.149 0.851 0.179
Y2 Y 0.149 0.851 0.321
Y3 Y 0.182 0.818 0.599
Y4 Y 0.182 0.818 0.901
Y5 Y 0.483 0.517 0.250
Y6 Y 0.500 0.500 0.000
Y7 Y 0.500 0.500 0.500
Y8 Y 0.517 0.483 0.750
Y9 Y 0.818 0.182 0.099
Y10 Y 0.818 0.182 0.401
Y11 Y 0.851 0.149 0.679
Y12 Y 0.851 0.149 0.821
```

For AcDy3Y7, a structure optimized by DFT (PBE) gives the simulated X-ray powder pattern in this record (Cu Ka).
Neutral-atom scattering factors, no anomalous dispersion.

Principal peaks in the range 5° ≤ 2θ ≤ 70°, by angle:
Position (°2θ), Rel. int.
18.3, 26.0
18.8, 23.7
31.2, 83.9
31.8, 100.0
32.5, 78.4
45.1, 15.6
46.1, 15.3
56.7, 20.3

```
data_AcDy3Y7
_chemical_formula_sum 'Ac1 Dy3 Y7'
_cell_length_a 7.004
_cell_length_b 5.628
_cell_length_c 9.958
_cell_angle_alpha 90.00
_cell_angle_beta 108.11
_cell_angle_gamma 90.00
_symmetry_space_group_name_H-M 'P 1'
_symmetry_Int_Tables_number 1
_symmetry_space_group_name_Hall 'P 1'
loop_
_atom_site_label
_atom_site_type_symbol
_atom_site_fract_x
_atom_site_fract_y
_atom_site_fract_z
Ac1 Ac 0.000 0.000 0.000
Dy1 Dy 0.275 0.500 0.493
Dy2 Dy 0.500 0.000 0.000
Dy3 Dy 0.725 0.500 0.507
Y1 Y 0.000 0.000 0.500
Y2 Y 0.147 0.500 0.787
Y3 Y 0.331 0.500 0.142
Y4 Y 0.436 0.000 0.333
Y5 Y 0.564 0.000 0.667
Y6 Y 0.669 0.500 0.858
Y7 Y 0.853 0.500 0.213
```

For Ac7DyY2, a structure optimized by DFT (PBE) gives the simulated X-ray powder pattern in this record (Cu Ka).
Neutral-atom scattering factors, no anomalous dispersion.

Principal peaks in the range 5° ≤ 2θ ≤ 70°, by angle:
Position (°2θ), Rel. int.
14.5, 50.2
22.9, 47.4
26.0, 75.9
27.9, 100.0
29.3, 73.2
30.8, 83.5
32.0, 66.8
40.9, 73.0

```
data_Ac7DyY2
_chemical_formula_sum 'Ac7 Dy1 Y2'
_cell_length_a 9.702
_cell_length_b 9.702
_cell_length_c 6.088
_cell_angle_alpha 90.00
_cell_angle_beta 90.00
_cell_angle_gamma 117.16
_symmetry_space_group_name_H-M 'P 1'
_symmetry_Int_Tables_number 1
_symmetry_space_group_name_Hall 'P 1'
loop_
_atom_site_label
_atom_site_type_symbol
_atom_site_fract_x
_atom_site_fract_y
_atom_site_fract_z
Ac1 Ac 0.000 0.000 0.000
Ac2 Ac 0.194 0.437 0.000
Ac3 Ac 0.262 0.738 0.500
Ac4 Ac 0.437 0.194 0.000
Ac5 Ac 0.563 0.806 0.000
Ac6 Ac 0.738 0.262 0.500
Ac7 Ac 0.806 0.563 0.000
Dy1 Dy 0.500 0.500 0.500
Y1 Y 0.202 0.798 0.000
Y2 Y 0.798 0.202 0.000
```

For Ac2Dy4Y7, a structure optimized by DFT (PBE) gives the simulated X-ray powder pattern in this record (Cu Ka).
Neutral-atom scattering factors, no anomalous dispersion.

Principal peaks in the range 5° ≤ 2θ ≤ 70°, by angle:
Position (°2θ), Rel. int.
13.2, 15.4
26.5, 18.1
28.8, 36.4
29.5, 18.4
31.4, 25.3
31.8, 100.0
35.2, 20.0
51.0, 26.3

```
data_Ac2Dy4Y7
_chemical_formula_sum 'Ac2 Dy4 Y7'
_cell_length_a 6.207
_cell_length_b 6.207
_cell_length_c 13.457
_cell_angle_alpha 90.00
_cell_angle_beta 90.00
_cell_angle_gamma 120.00
_symmetry_space_group_name_H-M 'P 1'
_symmetry_Int_Tables_number 1
_symmetry_space_group_name_Hall 'P 1'
loop_
_atom_site_label
_atom_site_type_symbol
_atom_site_fract_x
_atom_site_fract_y
_atom_site_fract_z
Ac1 Ac 0.333 0.667 0.000
Ac2 Ac 0.667 0.333 0.000
Dy1 Dy 0.000 0.000 0.396
Dy2 Dy 0.000 0.000 0.604
Dy3 Dy 0.333 0.667 0.500
Dy4 Dy 0.667 0.333 0.500
Y1 Y 0.000 0.000 0.000
Y2 Y 0.000 0.354 0.779
Y3 Y 0.000 0.646 0.221
Y4 Y 0.354 0.000 0.779
Y5 Y 0.354 0.354 0.221
Y6 Y 0.646 0.000 0.221
Y7 Y 0.646 0.646 0.779
```

For Ac2Dy6Y, a structure optimized by DFT (PBE) gives the simulated X-ray powder pattern in this record (Cu Ka).
Neutral-atom scattering factors, no anomalous dispersion.

Principal peaks in the range 5° ≤ 2θ ≤ 70°, by angle:
Position (°2θ), Rel. int.
28.8, 21.2
30.5, 100.0
31.0, 59.8
31.3, 52.3
32.1, 79.1
36.7, 20.8
51.8, 19.7
59.8, 19.4

```
data_Ac2Dy6Y
_chemical_formula_sum 'Ac2 Dy6 Y1'
_cell_length_a 8.856
_cell_length_b 3.642
_cell_length_c 10.055
_cell_angle_alpha 90.00
_cell_angle_beta 102.51
_cell_angle_gamma 90.00
_symmetry_space_group_name_H-M 'P 1'
_symmetry_Int_Tables_number 1
_symmetry_space_group_name_Hall 'P 1'
loop_
_atom_site_label
_atom_site_type_symbol
_atom_site_fract_x
_atom_site_fract_y
_atom_site_fract_z
Ac1 Ac 0.195 0.000 0.467
Ac2 Ac 0.805 0.000 0.533
Dy1 Dy 0.120 0.500 0.786
Dy2 Dy 0.182 0.000 0.099
Dy3 Dy 0.474 0.500 0.324
Dy4 Dy 0.526 0.500 0.676
Dy5 Dy 0.818 0.000 0.901
Dy6 Dy 0.880 0.500 0.214
Y1 Y 0.500 0.500 0.000
```

For Ac8Dy2Y3, a structure optimized by DFT (PBE) gives the simulated X-ray powder pattern in this record (Cu Ka).
Neutral-atom scattering factors, no anomalous dispersion.

Principal peaks in the range 5° ≤ 2θ ≤ 70°, by angle:
Position (°2θ), Rel. int.
28.5, 100.0
28.7, 33.1
33.1, 68.0
47.3, 17.0
47.6, 24.9
56.3, 25.4
56.4, 15.1
56.5, 10.1

```
data_Ac8Dy2Y3
_chemical_formula_sum 'Ac8 Dy2 Y3'
_cell_length_a 6.639
_cell_length_b 6.660
_cell_length_c 12.073
_cell_angle_alpha 89.95
_cell_angle_beta 79.22
_cell_angle_gamma 80.30
_symmetry_space_group_name_H-M 'P 1'
_symmetry_Int_Tables_number 1
_symmetry_space_group_name_Hall 'P 1'
loop_
_atom_site_label
_atom_site_type_symbol
_atom_site_fract_x
_atom_site_fract_y
_atom_site_fract_z
Ac1 Ac 0.042 0.082 0.349
Ac2 Ac 0.197 0.385 0.726
Ac3 Ac 0.339 0.693 0.115
Ac4 Ac 0.420 0.847 0.808
Ac5 Ac 0.580 0.153 0.192
Ac6 Ac 0.661 0.307 0.885
Ac7 Ac 0.803 0.615 0.274
Ac8 Ac 0.958 0.918 0.651
Dy1 Dy 0.111 0.233 0.037
Dy2 Dy 0.889 0.767 0.963
Y1 Y 0.274 0.537 0.427
Y2 Y 0.500 0.000 0.500
Y3 Y 0.726 0.463 0.573
```

For Ac3DyY, a structure optimized by DFT (PBE) gives the simulated X-ray powder pattern in this record (Cu Ka).
Neutral-atom scattering factors, no anomalous dispersion.

Principal peaks in the range 5° ≤ 2θ ≤ 70°, by angle:
Position (°2θ), Rel. int.
26.1, 100.0
27.0, 25.0
29.0, 60.4
29.4, 60.7
30.9, 79.9
31.6, 38.3
46.5, 25.0
50.6, 24.4

```
data_Ac3DyY
_chemical_formula_sum 'Ac12 Dy4 Y4'
_cell_length_a 6.526
_cell_length_b 9.357
_cell_length_c 13.341
_cell_angle_alpha 90.00
_cell_angle_beta 90.00
_cell_angle_gamma 90.00
_symmetry_space_group_name_H-M 'P 1'
_symmetry_Int_Tables_number 1
_symmetry_space_group_name_Hall 'P 1'
loop_
_atom_site_label
_atom_site_type_symbol
_atom_site_fract_x
_atom_site_fract_y
_atom_site_fract_z
Ac1 Ac 0.090 0.174 0.070
Ac2 Ac 0.090 0.326 0.430
Ac3 Ac 0.150 0.250 0.750
Ac4 Ac 0.350 0.750 0.750
Ac5 Ac 0.410 0.674 0.430
Ac6 Ac 0.410 0.826 0.070
Ac7 Ac 0.590 0.174 0.930
Ac8 Ac 0.590 0.326 0.570
Ac9 Ac 0.650 0.250 0.250
Ac10 Ac 0.850 0.750 0.250
Ac11 Ac 0.910 0.674 0.570
Ac12 Ac 0.910 0.826 0.930
Dy1 Dy 0.250 0.000 0.556
Dy2 Dy 0.250 0.500 0.944
Dy3 Dy 0.750 0.000 0.444
Dy4 Dy 0.750 0.500 0.056
Y1 Y 0.250 0.000 0.304
Y2 Y 0.250 0.500 0.196
Y3 Y 0.750 0.000 0.696
Y4 Y 0.750 0.500 0.804
```